1.
Structure and simulated powder diffraction line list of BaC2O4 (DFT lattice parameters and positions (GGA-PBE); CuKα).
Lines closer than 0.1° are merged.

Structure:
a = 5.0149 Å, b = 8.9464 Å, c = 9.5692 Å
α = 88.06°, β = 78.79°, γ = 85.44°
Element x y z (fractional)
Ba  0.0202  0.0785  0.2644
Ba  0.0402  0.5727  0.2553
Ba  0.9598  0.4273  0.7447
Ba  0.9798  0.9215  0.7356
C  0.3710  0.3097  0.9894
C  0.4008  0.8160  0.9939
C  0.4337  0.3041  0.4410
C  0.4806  0.1808  0.5576
C  0.5194  0.8192  0.4424
C  0.5663  0.6959  0.5590
C  0.5992  0.1840  0.0061
C  0.6290  0.6903  0.0106
O  0.1592  0.3199  0.0873
O  0.1870  0.3571  0.4488
O  0.1992  0.8297  0.0970
O  0.2843  0.1678  0.6615
O  0.2907  0.8950  0.4601
O  0.3637  0.6588  0.6500
O  0.4118  0.3941  0.8793
O  0.4313  0.8929  0.8790
O  0.5687  0.1071  0.1210
O  0.5882  0.6059  0.1207
O  0.6363  0.3412  0.3500
O  0.7093  0.1050  0.5399
O  0.7157  0.8322  0.3385
O  0.8008  0.1703  0.9030
O  0.8130  0.6429  0.5512
O  0.8408  0.6801  0.9127

Main lines, sorted by position (5 to 70 degrees two-theta):
d_spacing	2theta	Rel. int.
4.906	18.08	73
4.692	18.91	65
4.056	21.91	52
3.773	23.58	100
3.387	26.31	44
3.263	27.33	40
3.105	28.75	49
2.783	32.17	43
2.505	35.84	39
2.158	41.86	45



2.
Structure and simulated powder diffraction line list of NaTl (DFT lattice parameters and positions (GGA-PBE); CuKα).
Lines closer than 0.1° are merged.

Structure:
a = 6.3950 Å, b = 6.3950 Å, c = 6.0737 Å
α = 90.00°, β = 90.00°, γ = 80.83°
Element x y z (fractional)
Na  0.0093  0.3704  0.2500
Na  0.3704  0.0093  0.7500
Na  0.6296  0.9907  0.2500
Na  0.9907  0.6296  0.7500
Tl  0.1327  0.8673  0.2500
Tl  0.5000  0.5000  0.0000
Tl  0.5000  0.5000  0.5000
Tl  0.8673  0.1327  0.7500

Main lines, sorted by position (5 to 70 degrees two-theta):
d_spacing	2theta	Rel. int.
4.869	18.22	100
4.377	20.29	41
3.157	28.27	22
2.801	31.95	40
2.737	32.72	86
2.706	33.10	25
2.659	33.71	48
2.435	36.92	30
2.142	42.18	37
1.615	57.02	24



3.
Structure and simulated powder diffraction line list of SrSi2 (DFT lattice parameters and positions (GGA-PBE); CuKα).
Lines closer than 0.1° are merged.

Structure:
a = 7.6557 Å, b = 7.6557 Å, c = 7.6557 Å
α = 146.30°, β = 146.30°, γ = 48.39°
Element x y z (fractional)
Sr  0.3750  0.6250  0.7500
Sr  0.6250  0.3750  0.2500
Si  0.0418  0.7918  0.2500
Si  0.2082  0.9582  0.2500
Si  0.7918  0.0418  0.7500
Si  0.9582  0.2082  0.7500

Main lines, sorted by position (5 to 70 degrees two-theta):
d_spacing	2theta	Rel. int.
4.229	21.01	12
3.212	27.77	38
2.862	31.25	100
2.364	38.07	40
2.219	40.66	37
1.826	49.96	15
1.820	50.13	18
1.618	56.92	24
1.407	66.45	15
1.376	68.16	20



4.
Structure and simulated powder diffraction line list of Ba2SiO4 (DFT lattice parameters and positions (GGA-PBE); CuKα).
Lines closer than 0.1° are merged.

Structure:
a = 7.6017 Å, b = 5.8837 Å, c = 10.4134 Å
α = 90.00°, β = 90.00°, γ = 90.00°
Element x y z (fractional)
Ba  0.0065  0.2500  0.1943
Ba  0.1614  0.7500  0.4184
Ba  0.3386  0.2500  0.9184
Ba  0.4935  0.7500  0.6943
Ba  0.5065  0.2500  0.3057
Ba  0.6614  0.7500  0.0816
Ba  0.8386  0.2500  0.5816
Ba  0.9935  0.7500  0.8057
Si  0.2273  0.7500  0.0795
Si  0.2727  0.2500  0.5795
Si  0.7273  0.7500  0.4205
Si  0.7727  0.2500  0.9205
O  0.0108  0.7500  0.0820
O  0.1931  0.2500  0.4301
O  0.1945  0.0192  0.6499
O  0.1945  0.4808  0.6499
O  0.3055  0.5192  0.1499
O  0.3055  0.9808  0.1499
O  0.3069  0.7500  0.9301
O  0.4892  0.2500  0.5820
O  0.5108  0.7500  0.4180
O  0.6931  0.2500  0.0699
O  0.6945  0.0192  0.8501
O  0.6945  0.4808  0.8501
O  0.8055  0.5192  0.3501
O  0.8055  0.9808  0.3501
O  0.8069  0.7500  0.5699
O  0.9892  0.2500  0.9180

Main lines, sorted by position (5 to 70 degrees two-theta):
d_spacing	2theta	Rel. int.
3.469	25.68	84
3.070	29.09	39
3.052	29.26	96
2.990	29.89	100
2.942	30.38	79
2.462	36.49	55
2.271	39.69	34
2.124	42.56	34
1.888	48.20	31
1.735	52.76	44



5.
Structure and simulated powder diffraction line list of PmHoMg2 (DFT lattice parameters and positions (GGA-PBE); CuKα).
Lines closer than 0.1° are merged.

Structure:
a = 5.4009 Å, b = 5.4009 Å, c = 5.4009 Å
α = 60.00°, β = 60.00°, γ = 60.00°
Element x y z (fractional)
Pm  0.0000  0.0000  0.0000
Ho  0.5000  0.5000  0.5000
Mg  0.2500  0.2500  0.2500
Mg  0.7500  0.7500  0.7500

Main lines, sorted by position (5 to 70 degrees two-theta):
d_spacing	2theta	Rel. int.
3.819	23.29	62
2.700	33.17	100
2.205	40.93	19
1.910	47.62	18
1.708	53.66	26
1.559	59.27	38
1.350	69.63	12



6.
Structure and simulated powder diffraction line list of Au3F8 (DFT lattice parameters and positions (GGA-PBE); CuKα).
Lines closer than 0.1° are merged.

Structure:
a = 5.5971 Å, b = 10.9413 Å, c = 8.0061 Å
α = 90.00°, β = 132.18°, γ = 90.00°
Element x y z (fractional)
Au  0.0000  0.0000  0.0000
Au  0.0000  0.5000  0.5000
Au  0.1540  0.1800  0.4636
Au  0.1540  0.3200  0.9636
Au  0.8460  0.6800  0.0364
Au  0.8460  0.8200  0.5364
F  0.0434  0.6575  0.6857
F  0.0434  0.8425  0.1857
F  0.1332  0.5978  0.3403
F  0.1332  0.9022  0.8403
F  0.3528  0.0238  0.6113
F  0.3528  0.4762  0.1113
F  0.4119  0.2343  0.2506
F  0.4119  0.2657  0.7506
F  0.5881  0.7343  0.2494
F  0.5881  0.7657  0.7494
F  0.6472  0.5238  0.8887
F  0.6472  0.9762  0.3887
F  0.8668  0.0978  0.1597
F  0.8668  0.4022  0.6597
F  0.9566  0.1575  0.8143
F  0.9566  0.3425  0.3143

Main lines, sorted by position (5 to 70 degrees two-theta):
d_spacing	2theta	Rel. int.
4.148	21.42	69
3.911	22.74	58
3.878	22.93	55
3.754	23.70	76
3.107	28.73	100
3.055	29.23	33
2.966	30.13	37
2.709	33.06	27
2.150	42.02	34
1.877	48.50	33



7.
Structure and simulated powder diffraction line list of ZnH12C2S2N4Cl2O4 (DFT lattice parameters and positions (GGA-PBE); CuKα).
Lines closer than 0.1° are merged.

Structure:
a = 14.4721 Å, b = 4.9362 Å, c = 9.3912 Å
α = 90.00°, β = 90.00°, γ = 90.00°
Element x y z (fractional)
Zn  0.0000  0.0900  0.0000
Zn  0.5000  0.9100  0.5000
H  0.0874  0.5104  0.5648
H  0.1077  0.4180  0.1434
H  0.1303  0.7439  0.4311
H  0.1662  0.3465  0.8564
H  0.1668  0.1370  0.1001
H  0.1693  0.7647  0.6143
H  0.3307  0.2354  0.1143
H  0.3332  0.8630  0.6001
H  0.3338  0.6535  0.3564
H  0.3697  0.2561  0.9311
H  0.3923  0.5820  0.6434
H  0.4126  0.4896  0.0648
H  0.5874  0.4896  0.0648
H  0.6077  0.5820  0.6434
H  0.6303  0.2561  0.9311
H  0.6662  0.6535  0.3564
H  0.6668  0.8630  0.6001
H  0.6693  0.2354  0.1143
H  0.8307  0.7647  0.6143
H  0.8332  0.1370  0.1001
H  0.8338  0.3465  0.8564
H  0.8697  0.7439  0.4311
H  0.8923  0.4180  0.1434
H  0.9126  0.5104  0.5648
C  0.1467  0.6303  0.5281
C  0.3533  0.3697  0.0281
C  0.6467  0.3697  0.0281
C  0.8533  0.6303  0.5281
S  0.2353  0.3922  0.4903
S  0.2647  0.6078  0.9903
S  0.7353  0.6078  0.9903
S  0.7647  0.3922  0.4903
N  0.1239  0.2871  0.0617
N  0.1664  0.4439  0.9527
N  0.3336  0.5561  0.4527
N  0.3761  0.7129  0.5617
N  0.6239  0.7129  0.5617
N  0.6664  0.5561  0.4527
N  0.8336  0.4439  0.9527
N  0.8761  0.2871  0.0617
Cl  0.0000  0.0811  0.7637
Cl  0.0000  0.7822  0.1797
Cl  0.5000  0.2178  0.6797
Cl  0.5000  0.9189  0.2637
O  0.2135  0.2471  0.3612
O  0.2462  0.7570  0.1208
O  0.2538  0.2430  0.6208
O  0.2865  0.7529  0.8612
O  0.7135  0.7529  0.8612
O  0.7462  0.2430  0.6208
O  0.7538  0.7570  0.1208
O  0.7865  0.2471  0.3612

Main lines, sorted by position (5 to 70 degrees two-theta):
d_spacing	2theta	Rel. int.
7.878	11.23	100
4.692	18.91	47
4.291	20.70	25
4.183	21.24	23
4.078	21.80	66
3.740	23.79	49
3.618	24.61	31
3.079	29.00	19
2.786	32.12	27
1.992	45.53	19